[1]
This entry pairs a crystal structure of Li2V3CoO8 with its theoretical powder XRD pattern. Radiation: Cu Kα. Structure: a cell relaxed with PBE+U.

```
data_Li2V3CoO8
_space_group_name_H-M_alt 'P 1'
_space_group_IT_number 1
_space_group_name_Hall 'P 1'
_cell_length_a 5.9312
_cell_length_b 5.9493
_cell_length_c 10.2727
_cell_angle_alpha 73.26
_cell_angle_beta 89.99
_cell_angle_gamma 60.13
loop_
_atom_site_label
_atom_site_type_symbol
_atom_site_fract_x
_atom_site_fract_y
_atom_site_fract_z
_atom_site_occupancy
Li1 Li 0.0000 0.0000 0.0000 1
Li2 Li 0.0692 0.8600 0.6902 1
Li3 Li 0.4984 0.0001 0.5001 1
Li4 Li 0.5689 0.8608 0.1893 1
V1 V 0.0596 0.3622 0.6924 1
V2 V 0.0681 0.3629 0.1837 1
V3 V 0.3266 0.3614 0.9422 1
V4 V 0.5618 0.3596 0.1923 1
V5 V 0.5695 0.3592 0.6852 1
V6 V 0.8265 0.3609 0.4426 1
Co1 Co 0.1386 0.7227 0.3795 1
Co2 Co 0.6362 0.7254 0.8791 1
O1 O 0.1451 0.1519 0.5579 1
O2 O 0.1873 0.1518 0.0719 1
O3 O 0.1966 0.5783 0.5831 1
O4 O 0.2059 0.5884 0.0681 1
O5 O 0.4296 0.1381 0.8104 1
O6 O 0.4373 0.1524 0.2941 1
O7 O 0.4477 0.5780 0.8074 1
O8 O 0.4866 0.5785 0.3202 1
O9 O 0.6462 0.1515 0.0574 1
O10 O 0.6867 0.1512 0.5721 1
O11 O 0.6976 0.5787 0.0827 1
O12 O 0.7049 0.5877 0.5690 1
O13 O 0.9305 0.1381 0.3100 1
O14 O 0.9378 0.1507 0.7946 1
O15 O 0.9472 0.5794 0.3068 1
O16 O 0.9849 0.5785 0.8204 1
```

Main lines, low angle first (5 to 70 degrees two-theta):
Position (°2θ)	I (rel.)
18.25	100
21.15	48
30.04	45
35.41	57
35.48	95
43.07	51
56.89	37
57.00	21
62.43	35
62.65	38



[2]
This entry pairs a crystal structure of Li4V3Co3W2O16 with its theoretical powder XRD pattern. Radiation: Cu Kα. Structure: a cell relaxed with PBE+U.

```
data_Li4V3Co3W2O16
_space_group_name_H-M_alt 'C 1 m 1'
_space_group_IT_number 8
_space_group_name_Hall 'C -2y'
_cell_length_a 10.3243
_cell_length_b 6.0171
_cell_length_c 9.7738
_cell_angle_alpha 90.00
_cell_angle_beta 90.51
_cell_angle_gamma 90.00
loop_
_atom_site_label
_atom_site_type_symbol
_atom_site_fract_x
_atom_site_fract_y
_atom_site_fract_z
_atom_site_occupancy
Li1 Li 0.0000 0.0000 0.0000 1
Li2 Li 0.0007 0.0000 0.5022 1
Li3 Li 0.1702 0.5000 0.0835 1
Li4 Li 0.3393 0.0000 0.5828 1
V1 V 0.3263 0.5000 0.7632 1
V2 V 0.4127 0.2455 0.2705 1
Co1 Co 0.0888 0.2556 0.7769 1
Co2 Co 0.1739 0.0000 0.2768 1
W1 W 0.1634 0.5000 0.4982 1
W2 W 0.3352 0.0000 0.9983 1
O1 O 0.0014 0.0000 0.1887 1
O2 O 0.0264 0.5000 0.6352 1
O3 O 0.0854 0.2593 0.4022 1
O4 O 0.1722 0.0000 0.9058 1
O5 O 0.1866 0.5000 0.8794 1
O6 O 0.2509 0.2865 0.6354 1
O7 O 0.2670 0.2234 0.1373 1
O8 O 0.3253 0.5000 0.3958 1
O9 O 0.3434 0.0000 0.3812 1
O10 O 0.4120 0.2401 0.8987 1
O11 O 0.4824 0.0000 0.1366 1
O12 O 0.4928 0.5000 0.6922 1
```

Main lines, low angle first (5 to 70 degrees two-theta):
Position (°2θ)	I (rel.)
19.35	100
19.52	21
24.96	19
32.37	22
32.50	14
35.05	35
35.34	18
35.74	20
59.01	11
62.15	13



[3]
This entry pairs a crystal structure of Li3Co4WO8 with its theoretical powder XRD pattern. Radiation: Cu Kα. Structure: a cell relaxed with PBE+U.

```
data_Li3Co4WO8
_space_group_name_H-M_alt 'C 1 2/m 1'
_space_group_IT_number 12
_space_group_name_Hall '-C 2y'
_cell_length_a 10.3354
_cell_length_b 6.1568
_cell_length_c 6.1749
_cell_angle_alpha 90.00
_cell_angle_beta 126.49
_cell_angle_gamma 90.00
loop_
_atom_site_label
_atom_site_type_symbol
_atom_site_fract_x
_atom_site_fract_y
_atom_site_fract_z
_atom_site_occupancy
Li1 Li 0.0000 0.0000 0.0000 1
Li2 Li 0.2500 0.2500 0.5000 1
Co1 Co 0.0000 0.0000 0.5000 1
Co2 Co 0.0000 0.5000 0.0000 1
Co3 Co 0.2500 0.2500 0.0000 1
W1 W 0.0000 0.5000 0.5000 1
O1 O 0.0033 0.2623 0.2655 1
O2 O 0.2353 0.5000 0.7311 1
O3 O 0.2496 0.0000 0.7724 1
```

Main lines, low angle first (5 to 70 degrees two-theta):
Position (°2θ)	I (rel.)
17.93	100
21.39	12
28.96	12
34.26	35
35.50	17
36.32	31
41.42	47
43.57	20
61.59	13
61.76	13



[4]
This entry pairs a crystal structure of LiCoW2O8 with its theoretical powder XRD pattern. Radiation: Cu Kα. Structure: a cell relaxed with PBE+U.

```
data_LiCoW2O8
_space_group_name_H-M_alt 'P 1'
_space_group_IT_number 1
_space_group_name_Hall 'P 1'
_cell_length_a 4.9827
_cell_length_b 5.6086
_cell_length_c 5.8689
_cell_angle_alpha 69.90
_cell_angle_beta 89.17
_cell_angle_gamma 65.68
loop_
_atom_site_label
_atom_site_type_symbol
_atom_site_fract_x
_atom_site_fract_y
_atom_site_fract_z
_atom_site_occupancy
Li1 Li 0.0000 0.0000 0.0000 1
Co1 Co 0.5311 0.9432 0.6956 1
W1 W 0.3049 0.4154 0.0452 1
W2 W 0.7690 0.4594 0.3760 1
O1 O 0.2129 0.2240 0.3830 1
O2 O 0.2748 0.1914 0.8941 1
O3 O 0.3245 0.7170 0.7887 1
O4 O 0.3655 0.6540 0.2497 1
O5 O 0.7128 0.2227 0.1635 1
O6 O 0.7434 0.1663 0.6442 1
O7 O 0.7810 0.6853 0.5278 1
O8 O 0.8681 0.6626 0.0402 1
```

Main lines, low angle first (5 to 70 degrees two-theta):
Position (°2θ)	I (rel.)
18.69	100
19.74	59
23.62	42
23.73	49
27.55	58
28.72	57
29.17	34
31.96	47
32.82	45
40.15	30



[5]
This entry pairs a crystal structure of Li4Co3WO8 with its theoretical powder XRD pattern. Radiation: Cu Kα. Structure: a cell relaxed with PBE+U.

```
data_Li4Co3WO8
_space_group_name_H-M_alt 'R -3 m'
_space_group_IT_number 166
_space_group_name_Hall '-R 3 2"'
_cell_length_a 6.0583
_cell_length_b 6.0583
_cell_length_c 14.6600
_cell_angle_alpha 90.00
_cell_angle_beta 90.00
_cell_angle_gamma 120.00
loop_
_atom_site_label
_atom_site_type_symbol
_atom_site_fract_x
_atom_site_fract_y
_atom_site_fract_z
_atom_site_occupancy
Li1 Li 0.0000 0.0000 0.0000 1
Li2 Li 0.0000 0.5000 0.0000 1
Co1 Co 0.0000 0.5000 0.5000 1
W1 W 0.0000 0.0000 0.5000 1
O1 O 0.0000 0.0000 0.2385 1
O2 O 0.0289 0.5145 0.2458 1
```

Main lines, low angle first (5 to 70 degrees two-theta):
Position (°2θ)	I (rel.)
17.96	37
18.15	100
20.82	23
34.74	53
36.37	27
42.37	66
46.45	21
61.19	20
61.75	19
64.39	21



[6]
This entry pairs a crystal structure of LiZnCo4O8 with its theoretical powder XRD pattern. Radiation: Cu Kα. Structure: a cell relaxed with PBE+U.

```
data_LiZnCo4O8
_space_group_name_H-M_alt 'P 1'
_space_group_IT_number 1
_space_group_name_Hall 'P 1'
_cell_length_a 2.9670
_cell_length_b 7.0698
_cell_length_c 7.5279
_cell_angle_alpha 74.51
_cell_angle_beta 78.76
_cell_angle_gamma 78.00
loop_
_atom_site_label
_atom_site_type_symbol
_atom_site_fract_x
_atom_site_fract_y
_atom_site_fract_z
_atom_site_occupancy
Li1 Li 0.0000 0.0000 0.0000 1
Zn1 Zn 0.8073 0.0656 0.3265 1
Co1 Co 0.1034 0.1371 0.6644 1
Co2 Co 0.3347 0.3719 0.9697 1
Co3 Co 0.5401 0.5235 0.3365 1
Co4 Co 0.7946 0.7502 0.6652 1
O1 O 0.2703 0.9373 0.5262 1
O2 O 0.2993 0.6116 0.7960 1
O3 O 0.3787 0.1096 0.1406 1
O4 O 0.6146 0.9848 0.7954 1
O5 O 0.6165 0.2644 0.5115 1
O6 O 0.7203 0.4607 0.1132 1
O7 O 0.9423 0.2879 0.8373 1
O8 O 0.9654 0.6562 0.4009 1
```

Main lines, low angle first (5 to 70 degrees two-theta):
Position (°2θ)	I (rel.)
12.34	62
13.18	47
15.80	64
31.90	100
31.97	99
35.40	87
36.03	63
37.09	62
37.61	44
51.85	47



[7]
This entry pairs a crystal structure of LiZnCo4O8 with its theoretical powder XRD pattern. Radiation: Cu Kα. Structure: a cell relaxed with PBE+U.

```
data_LiZnCo4O8
_space_group_name_H-M_alt 'C 1 m 1'
_space_group_IT_number 8
_space_group_name_Hall 'C -2y'
_cell_length_a 13.7041
_cell_length_b 2.8990
_cell_length_c 8.7476
_cell_angle_alpha 90.00
_cell_angle_beta 119.46
_cell_angle_gamma 90.00
loop_
_atom_site_label
_atom_site_type_symbol
_atom_site_fract_x
_atom_site_fract_y
_atom_site_fract_z
_atom_site_occupancy
Li1 Li 0.0000 0.0000 0.0000 1
Zn1 Zn 0.4224 0.0000 0.2200 1
Co1 Co 0.1425 0.5000 0.8473 1
Co2 Co 0.1849 0.0000 0.2397 1
Co3 Co 0.3172 0.0000 0.8208 1
Co4 Co 0.3902 0.5000 0.5477 1
O1 O 0.0749 0.5000 0.1973 1
O2 O 0.1403 0.0000 0.9902 1
O3 O 0.1666 0.0000 0.7254 1
O4 O 0.2822 0.0000 0.4717 1
O5 O 0.3530 0.5000 0.0037 1
O6 O 0.3668 0.5000 0.3168 1
O7 O 0.3838 0.5000 0.7548 1
O8 O 0.4885 0.0000 0.6291 1
```

Main lines, low angle first (5 to 70 degrees two-theta):
Position (°2θ)	I (rel.)
14.85	66
20.59	64
23.02	49
23.36	60
29.95	77
33.24	60
35.35	52
36.72	100
37.43	65
52.41	46



[8]
This entry pairs a crystal structure of LiZnCo4O8 with its theoretical powder XRD pattern. Radiation: Cu Kα. Structure: a cell relaxed with PBE+U.

```
data_LiZnCo4O8
_space_group_name_H-M_alt 'P 1'
_space_group_IT_number 1
_space_group_name_Hall 'P 1'
_cell_length_a 2.9065
_cell_length_b 7.4274
_cell_length_c 7.5588
_cell_angle_alpha 69.67
_cell_angle_beta 88.55
_cell_angle_gamma 81.82
loop_
_atom_site_label
_atom_site_type_symbol
_atom_site_fract_x
_atom_site_fract_y
_atom_site_fract_z
_atom_site_occupancy
Li1 Li 0.0000 0.0000 0.0000 1
Zn1 Zn 0.6932 0.4437 0.6719 1
Co1 Co 0.0885 0.8410 0.3623 1
Co2 Co 0.1577 0.0198 0.6587 1
Co3 Co 0.4020 0.2979 0.0912 1
Co4 Co 0.7118 0.6567 0.0455 1
O1 O 0.1487 0.5979 0.5292 1
O2 O 0.1672 0.7932 0.8928 1
O3 O 0.2579 0.5150 0.1866 1
O4 O 0.5660 0.9403 0.5113 1
O5 O 0.6091 0.8256 0.1814 1
O6 O 0.6580 0.1612 0.7389 1
O7 O 0.8213 0.4509 0.9348 1
O8 O 0.9695 0.1316 0.1848 1
```

Main lines, low angle first (5 to 70 degrees two-theta):
Position (°2θ)	I (rel.)
20.87	73
23.92	100
24.48	41
25.14	64
29.20	42
32.60	68
35.49	47
35.83	52
36.68	34
38.60	40



[9]
This entry pairs a crystal structure of LiZnCo4O8 with its theoretical powder XRD pattern. Radiation: Cu Kα. Structure: a cell relaxed with PBE+U.

```
data_LiZnCo4O8
_space_group_name_H-M_alt 'P 1'
_space_group_IT_number 1
_space_group_name_Hall 'P 1'
_cell_length_a 2.9557
_cell_length_b 7.5121
_cell_length_c 7.6860
_cell_angle_alpha 109.47
_cell_angle_beta 100.29
_cell_angle_gamma 99.82
loop_
_atom_site_label
_atom_site_type_symbol
_atom_site_fract_x
_atom_site_fract_y
_atom_site_fract_z
_atom_site_occupancy
Li1 Li 0.0000 0.0000 0.0000 1
Zn1 Zn 0.0486 0.8463 0.2734 1
Co1 Co 0.2028 0.4076 0.0478 1
Co2 Co 0.3503 0.0446 0.6665 1
Co3 Co 0.6092 0.6792 0.6284 1
Co4 Co 0.7705 0.2413 0.3708 1
O1 O 0.0335 0.1889 0.8337 1
O2 O 0.2376 0.2963 0.2359 1
O3 O 0.3008 0.8549 0.7852 1
O4 O 0.3085 0.1831 0.5014 1
O5 O 0.5758 0.9857 0.1889 1
O6 O 0.6128 0.8588 0.4926 1
O7 O 0.8105 0.5730 0.0914 1
O8 O 0.9657 0.5014 0.5438 1
```

Main lines, low angle first (5 to 70 degrees two-theta):
Position (°2θ)	I (rel.)
12.63	64
21.25	25
23.78	100
28.79	27
33.10	55
34.98	49
35.88	33
37.28	50
38.50	32
55.09	41



[10]
This entry pairs a crystal structure of LiZnCo4O8 with its theoretical powder XRD pattern. Radiation: Cu Kα. Structure: a cell relaxed with PBE+U.

```
data_LiZnCo4O8
_space_group_name_H-M_alt 'P 1'
_space_group_IT_number 1
_space_group_name_Hall 'P 1'
_cell_length_a 2.9051
_cell_length_b 7.3982
_cell_length_c 7.4543
_cell_angle_alpha 97.15
_cell_angle_beta 101.19
_cell_angle_gamma 101.32
loop_
_atom_site_label
_atom_site_type_symbol
_atom_site_fract_x
_atom_site_fract_y
_atom_site_fract_z
_atom_site_occupancy
Li1 Li 0.0000 0.0000 0.0000 1
Zn1 Zn 0.4999 0.6730 0.3379 1
Co1 Co 0.1813 0.0449 0.3284 1
Co2 Co 0.3067 0.6684 0.9575 1
Co3 Co 0.6570 0.3202 0.0086 1
Co4 Co 0.8116 0.9694 0.6665 1
O1 O 0.1360 0.4097 0.8768 1
O2 O 0.1530 0.8164 0.4998 1
O3 O 0.1873 0.2428 0.1478 1
O4 O 0.4560 0.0908 0.8344 1
O5 O 0.5378 0.9102 0.1748 1
O6 O 0.7938 0.7668 0.8336 1
O7 O 0.8035 0.1336 0.4840 1
O8 O 0.8523 0.5669 0.1503 1
```

Main lines, low angle first (5 to 70 degrees two-theta):
Position (°2θ)	I (rel.)
12.33	100
15.92	92
18.90	37
29.71	32
32.15	54
36.17	84
37.28	37
37.74	37
46.13	32
50.61	38



[11]
This entry pairs a crystal structure of Lu4MgCo4O12 with its theoretical powder XRD pattern. Radiation: Cu Kα. Structure: a cell relaxed with PBE+U.

```
data_Lu4MgCo4O12
_space_group_name_H-M_alt 'P 1'
_space_group_IT_number 1
_space_group_name_Hall 'P 1'
_cell_length_a 5.2104
_cell_length_b 5.9628
_cell_length_c 7.1051
_cell_angle_alpha 89.98
_cell_angle_beta 89.84
_cell_angle_gamma 86.53
loop_
_atom_site_label
_atom_site_type_symbol
_atom_site_fract_x
_atom_site_fract_y
_atom_site_fract_z
_atom_site_occupancy
Lu1 Lu 0.0000 0.0000 0.0000 1
Lu2 Lu 0.0770 0.8175 0.5012 1
Lu3 Lu 0.5381 0.3246 0.5013 1
Lu4 Lu 0.6246 0.5599 0.0000 1
Mg1 Mg 0.4690 0.1704 0.0078 1
Co1 Co 0.0525 0.4171 0.2532 1
Co2 Co 0.0527 0.4162 0.7490 1
Co3 Co 0.5370 0.8943 0.7338 1
Co4 Co 0.5378 0.8902 0.2703 1
O1 O 0.1763 0.3731 0.0006 1
O2 O 0.2198 0.0981 0.7041 1
O3 O 0.2230 0.0980 0.2961 1
O4 O 0.3522 0.5802 0.3095 1
O5 O 0.3518 0.5811 0.6921 1
O6 O 0.4049 0.8649 0.0008 1
O7 O 0.6776 0.9625 0.5013 1
O8 O 0.7334 0.2493 0.8162 1
O9 O 0.7366 0.2520 0.1885 1
O10 O 0.8724 0.7286 0.1983 1
O11 O 0.8727 0.7293 0.8039 1
O12 O 0.9193 0.4661 0.5015 1
```

Main lines, low angle first (5 to 70 degrees two-theta):
Position (°2θ)	I (rel.)
25.07	26
25.36	37
26.58	34
32.62	48
33.59	59
34.53	100
49.17	21
49.62	17
51.44	21
51.93	18



Please write out number 7 again, unchanged.
This entry pairs a crystal structure of LiZnCo4O8 with its theoretical powder XRD pattern. Radiation: Cu Kα. Structure: a cell relaxed with PBE+U.

```
data_LiZnCo4O8
_space_group_name_H-M_alt 'C 1 m 1'
_space_group_IT_number 8
_space_group_name_Hall 'C -2y'
_cell_length_a 13.7041
_cell_length_b 2.8990
_cell_length_c 8.7476
_cell_angle_alpha 90.00
_cell_angle_beta 119.46
_cell_angle_gamma 90.00
loop_
_atom_site_label
_atom_site_type_symbol
_atom_site_fract_x
_atom_site_fract_y
_atom_site_fract_z
_atom_site_occupancy
Li1 Li 0.0000 0.0000 0.0000 1
Zn1 Zn 0.4224 0.0000 0.2200 1
Co1 Co 0.1425 0.5000 0.8473 1
Co2 Co 0.1849 0.0000 0.2397 1
Co3 Co 0.3172 0.0000 0.8208 1
Co4 Co 0.3902 0.5000 0.5477 1
O1 O 0.0749 0.5000 0.1973 1
O2 O 0.1403 0.0000 0.9902 1
O3 O 0.1666 0.0000 0.7254 1
O4 O 0.2822 0.0000 0.4717 1
O5 O 0.3530 0.5000 0.0037 1
O6 O 0.3668 0.5000 0.3168 1
O7 O 0.3838 0.5000 0.7548 1
O8 O 0.4885 0.0000 0.6291 1
```

Main lines, low angle first (5 to 70 degrees two-theta):
Position (°2θ)	I (rel.)
14.85	66
20.59	64
23.02	49
23.36	60
29.95	77
33.24	60
35.35	52
36.72	100
37.43	65
52.41	46